No. 1
Computed powder XRD pattern of TiRuN for Cu Kα, 1.54184 Å, from DFT lattice parameters and positions (GGA-PBE).

Largest 10 diffraction maxima, most intense first, 5 to 70 degrees two-theta:
two_theta, Rel. int., index
37.81, 100, 1 0 1
43.52, 47, 1 1 0
64.21, 27, 1 1 2
30.39, 23, 1 0 0
44.77, 21, 0 0 2
63.23, 14, 2 0 0
21.95, 9, 0 0 1
55.08, 8, 1 0 2
49.26, 5, 1 1 1
67.80, 2, 2 0 1

Structural model:
a = 2.9411 Å, b = 2.9411 Å, c = 4.0485 Å
α = 90.00°, β = 90.00°, γ = 90.00°
Space group P4/mmm (No. 123)
One atom of each set of equivalent atoms:
Ti 0.0000 0.0000 0.0000 [1 per cell]
Ru 0.5000 0.5000 0.5000 [1 per cell]
N 0.5000 0.5000 0.0000 [1 per cell]

=====

No. 2
Computed powder XRD pattern of LiIr4Rh for Cu Kα, 1.54184 Å, from DFT lattice parameters and positions (GGA-PBE).

Largest 10 diffraction maxima, most intense first, 5 to 70 degrees two-theta:
two_theta, Rel. int., index
46.51, 100, 2 2 4
42.00, 75, 0 2 6
39.19, 68, 2 2 0
24.05, 67, 0 0 4
41.07, 54, 0 4 0
66.71, 34, 0 2 10
35.42, 29, 2 0 2
50.11, 22, 2 0 6
48.16, 22, 0 4 4
55.33, 16, 2 4 2

Structural model:
a = 5.3945 Å, b = 8.7908 Å, c = 14.8002 Å
α = 90.00°, β = 90.00°, γ = 90.00°
Space group Fddd (No. 70, origin choice 2)
One atom of each set of equivalent atoms:
Li 0.1250 0.1250 0.1250 [8 per cell]
Ir 0.1210 0.3750 0.2235 [32 per cell]
Rh 0.1250 0.1250 0.6250 [8 per cell]